1.
# HoFeNi
Calculated powder diffraction line list, a wavelength of 1.5418 Å. Input: a DFT-relaxed cell (GGA-PBE, Alexandria).

Largest 10 diffraction maxima, in order of rising 2θ, 2θ from 10° to 90°:
2θ (°)	I_rel	h k l
21.00	158	0 1 1
34.59	206	0 2 0
35.06	857	1 1 2
36.29	211	2 0 0
40.88	347	0 1 3
41.21	1000	1 2 1
42.30	564	2 1 1
62.29	163	1 3 2
68.63	213	3 2 1
74.09	284	2 2 4

Atomic structure:
abc: 4.951 5.186 7.318
angles: 90.00 90.00 90.00
Space group Imma (No. 74)
Asymmetric unit:
Ho: 0.000 0.250 0.122
Fe: 0.250 0.250 0.750
Ni: 0.000 0.000 0.500

---

2.
# HoFeSi2Ni
Calculated powder diffraction line list, a wavelength of 1.5418 Å. Input: a DFT-relaxed cell (GGA-PBE, Alexandria).

Largest 10 diffraction maxima, in order of rising 2θ, 2θ from 10° to 90°:
2θ (°)	I_rel	h k l
24.67	530	1 0 1
35.95	575	1 0 3
36.71	173	0 0 4
37.57	1000	1 1 2
46.82	380	2 0 0
52.32	190	1 0 5
60.40	254	2 1 3
60.92	152	2 0 4
66.67	181	1 1 6
80.72	204	3 1 2

Atomic structure:
abc: 3.881 3.881 9.793
angles: 90.00 90.00 90.00
Space group I-4m2 (No. 119)
Asymmetric unit:
Ho: 0.000 0.000 0.000
Fe: 0.000 0.500 0.750
Si: 0.000 0.000 0.374
Ni: 0.000 0.500 0.250